Theoretical X-ray diffraction stick pattern
Compound: Ca3Ta2O8
Radiation: CuKα
Structure: a structure optimized by DFT (PBE)
Neutral-atom scattering factors, no anomalous dispersion.

Atomic structure:
```
data_Ca3Ta2O8
_chemical_formula_sum 'Ca12 Ta8 O32'
_cell_length_a 10.034
_cell_length_b 8.855
_cell_length_c 9.211
_cell_angle_alpha 90.00
_cell_angle_beta 113.31
_cell_angle_gamma 90.00
_space_group_name_H-M_alt 'C 1 2/c 1'
_space_group_IT_number 15
loop_
_space_group_symop_operation_xyz
'x,y,z'
'-x,-y,-z'
'-x,y,-z+1/2'
'x,-y,z+1/2'
'x+1/2,y+1/2,z'
'-x+1/2,-y+1/2,-z'
'-x+1/2,y+1/2,-z+1/2'
'x+1/2,-y+1/2,z+1/2'
loop_
_atom_site_label
_atom_site_fract_x
_atom_site_fract_y
_atom_site_fract_z
Ca1 0.000 0.224 0.250
Ca2 0.170 0.066 0.001
Ta1 0.076 0.357 0.621
O1 0.021 0.421 0.111
O2 0.059 0.158 0.529
O3 0.123 0.312 0.856
O4 0.223 0.096 0.318
```

The 8 most intense peaks (2θ = 10–80°), low angle first:
(hkl), 2θ/deg, intensity
1 1 0, 13.87, 100
2 0 0, 19.26, 45
1 1 1, 19.58, 65
0 2 1, 22.67, 90
3 1 -1, 28.54, 35
3 1 -2, 30.14, 43
1 1 -3, 30.96, 61
2 2 1, 32.58, 46